Calculated X-ray powder pattern of Nd3Al2Pd3 for Cu Kα (λ = 1.5418 Å), from a GGA-PBE-relaxed structure.
Lines closer than 0.1° are merged.

Crystal structure
Cell lengths 8.4414, 8.4414, 5.7159 Å; angles 90.00, 90.00, 120.00 degrees
Space group P6_3/mcm (No. 193)
Symmetry-distinct sites (fractional):
Nd (0.0000, 0.2658, 0.2500) x6
Al (0.3333, 0.6667, 0.0000) x4
Pd (0.0000, 0.4047, 0.7500) x6

Largest 6 diffraction maxima, by angle, 15 to 90 degrees two-theta:
2θ (°)  I (rel.)  index
21.05  40  1 1 0
31.30  38  0 0 2
36.11  100  2 1 1
36.89  29  3 0 0
38.02  36  1 1 2
47.59  24  3 1 1